# K3CdP2
Computed powder diffraction line list, copper Kα. Input: a crystal structure in Alexandria, relaxed with PBE.
No peak broadening, texture or thermal motion is included.

Peak list (10 most intense, 10° ≤ 2θ ≤ 80°, low angle first)
| two_theta | I (rel.) | hkl |
| --- | --- | --- |
| 12.1 | 79 | 0 2 0 |
| 12.8 | 100 | 1 1 0 |
| 25.8 | 61 | 2 2 0 |
| 29.2 | 50 | 0 2 2 |
| 30.0 | 31 | 1 4 1 |
| 33.5 | 37 | 2 4 0 |
| 34.3 | 21 | 1 3 2 |
| 35.2 | 56 | 2 0 2 |
| 36.2 | 34 | 0 4 2 |
| 37.3 | 24 | 2 2 2 |

Crystal structure
a = 7.8170 Å, b = 14.6828 Å, c = 6.7274 Å
α = 90.00°, β = 90.00°, γ = 90.00°
Space group Ibam (No. 72)
One atom of each set of equivalent atoms:
K 0.0000 0.0000 0.2500 [4 per cell]
K 0.1891 0.3159 0.0000 [8 per cell]
Cd 0.0000 0.5000 0.2500 [4 per cell]
P 0.1948 0.4006 0.5000 [8 per cell]

***

# NdZn9Pd3
Computed powder diffraction line list, copper Kα. Input: a crystal structure in Alexandria, relaxed with PBE.
No peak broadening, texture or thermal motion is included.

Peak list (10 most intense, 10° ≤ 2θ ≤ 80°, low angle first)
| two_theta | I (rel.) | hkl |
| --- | --- | --- |
| 34.3 | 19 | 1 3 1 |
| 34.6 | 26 | 1 3 -2 |
| 39.2 | 49 | 2 2 0 |
| 39.6 | 83 | 2 2 -2 |
| 39.7 | 19 | 1 5 -1 |
| 40.3 | 100 | 0 4 2 |
| 40.7 | 18 | 1 1 -3 |
| 44.2 | 30 | 2 4 -1 |
| 44.8 | 20 | 0 6 1 |
| 72.3 | 21 | 2 6 2 |

Crystal structure
a = 5.3254 Å, b = 12.8403 Å, c = 6.7578 Å
α = 90.00°, β = 112.52°, γ = 90.00°
Space group C2/m (No. 12)
One atom of each set of equivalent atoms:
Nd 0.0000 0.0000 0.0000 [2 per cell]
Zn 0.0000 0.5000 0.5000 [2 per cell]
Zn 0.1042 0.3898 0.2182 [8 per cell]
Zn 0.1631 0.1767 0.3474 [8 per cell]
Pd 0.0000 0.0000 0.5000 [2 per cell]
Pd 0.2500 0.2500 0.0000 [4 per cell]